Diffraction record for LiPuInO5. The XRD peak list is computed, not measured: it uses a PBE-relaxed structure and Cu Kα (weighted mean of Kα1 and Kα2).

Cell and atoms:
abc: 6.7536 10.6312 7.3567
angles: 90.00 109.62 90.00
Space group C2/c (No. 15)
Inequivalent atoms, fractional coordinates:
1 Li 0.0000 0.0339 0.2500 (multiplicity 4)
2 Pu 0.2500 0.2500 0.0000 (multiplicity 4)
3 In 0.0000 0.4816 0.2500 (multiplicity 4)
4 O 0.0000 0.3192 0.7500 (multiplicity 4)
5 O 0.0533 0.1700 0.0808 (multiplicity 8)
6 O 0.2149 0.4420 0.1231 (multiplicity 8)

Most intense lines, 15 to 90 degrees two-theta, in order of falling intensity:
| two_theta | d [Å] | I_rel | h k l |
| --- | --- | --- | --- |
| 17.55 | 5.054 | 100 | 1 1 -1 |
| 23.47 | 3.790 | 64 | 1 1 1 |
| 30.80 | 2.903 | 57 | 0 2 2 |
| 32.81 | 2.729 | 36 | 2 2 0 |
| 29.62 | 3.016 | 36 | 1 3 -1 |
| 16.24 | 5.459 | 26 | 1 1 0 |
| 31.14 | 2.872 | 24 | 2 0 -2 |
| 48.32 | 1.884 | 21 | 1 5 1 |
| 33.72 | 2.658 | 20 | 0 4 0 |
| 46.55 | 1.951 | 18 | 2 4 -2 |